# 1
For Rb2Au3, a DFT-relaxed cell (GGA-PBE, OQMD) gives the computed powder XRD pattern in this record (Cu Kα (λ = 1.5418 Å)).

Lattice parameters (Å, degrees): 5.0220 5.5700 10.5336 90.00 90.00 90.00
Space group Imm2 (No. 44)
Inequivalent atoms, fractional coordinates:
Rb 0.0000 0.0000 0.0000 (multiplicity 2)
Rb 0.0000 0.0000 0.3924 (multiplicity 2)
Au 0.0000 0.2530 0.6966 (multiplicity 4)
Au 0.0000 0.5000 0.1954 (multiplicity 2)

Top 8 peaks for 2θ from 15° to 90°, most intense first:
| 2θ/deg | I (rel.) | hkl |
| --- | --- | --- |
| 37.92 | 100 | 1 2 1 |
| 16.83 | 87 | 0 0 2 |
| 29.34 | 54 | 1 1 2 |
| 35.76 | 41 | 2 0 0 |
| 57.87 | 41 | 1 2 5 |
| 34.05 | 31 | 0 0 4 |
| 45.32 | 29 | 1 2 3 |
| 30.09 | 25 | 0 1 3 |

***

# 2
For ZnICl, a DFT-relaxed cell (GGA-PBE, OQMD) gives the computed powder XRD pattern in this record (Cu Kα (λ = 1.5418 Å)).

Lattice parameters (Å, degrees): 4.0100 4.0100 12.2239 90.00 90.00 90.00
Space group P-4m2 (No. 115)
Inequivalent atoms, fractional coordinates:
Zn 0.0000 0.0000 0.0000 (multiplicity 1)
Zn 0.5000 0.5000 0.5000 (multiplicity 1)
I 0.0000 0.5000 0.6384 (multiplicity 2)
Cl 0.0000 0.5000 0.0990 (multiplicity 2)

Top 8 peaks for 2θ from 15° to 90°, most intense first:
| 2θ/deg | I (rel.) | hkl |
| --- | --- | --- |
| 26.59 | 100 | 1 0 2 |
| 23.35 | 58 | 1 0 1 |
| 43.54 | 48 | 1 1 4 |
| 53.23 | 27 | 2 1 2 |
| 45.23 | 24 | 2 0 0 |
| 43.35 | 20 | 1 0 5 |
| 31.30 | 15 | 1 0 3 |
| 21.81 | 15 | 0 0 3 |

***

# 3
For NbTlTeAuSe2, a DFT-relaxed cell (GGA-PBE, OQMD) gives the computed powder XRD pattern in this record (Cu Kα (λ = 1.5418 Å)).

Lattice parameters (Å, degrees): 3.6370 16.2046 10.4683 90.00 90.00 90.00
Space group Cmcm (No. 63)
Inequivalent atoms, fractional coordinates:
Nb 0.0000 0.0000 0.0000 (multiplicity 4)
Tl 0.0000 0.2259 0.2500 (multiplicity 4)
Te 0.0000 0.0862 0.7500 (multiplicity 4)
Au 0.0000 0.4513 0.7500 (multiplicity 4)
Se 0.0000 0.3816 0.5329 (multiplicity 8)

Top 8 peaks for 2θ from 15° to 90°, most intense first:
| 2θ/deg | I (rel.) | hkl |
| --- | --- | --- |
| 34.29 | 100 | 0 0 4 |
| 30.85 | 90 | 1 3 1 |
| 53.27 | 30 | 1 3 5 |
| 16.94 | 30 | 0 0 2 |
| 39.49 | 30 | 1 3 3 |
| 62.16 | 19 | 2 0 4 |
| 42.32 | 17 | 0 6 3 |
| 50.17 | 15 | 2 0 0 |

***

# 4
For GdHoTeO2, a DFT-relaxed cell (GGA-PBE, OQMD) gives the computed powder XRD pattern in this record (Cu Kα (λ = 1.5418 Å)).

Lattice parameters (Å, degrees): 3.8990 3.8990 7.1948 90.00 90.00 120.00
Space group P3m1 (No. 156)
Inequivalent atoms, fractional coordinates:
Gd 0.0000 0.0000 0.0000 (multiplicity 1)
Ho 0.3333 0.6667 0.6085 (multiplicity 1)
Te 0.6667 0.3333 0.3068 (multiplicity 1)
O 0.0000 0.0000 0.6805 (multiplicity 1)
O 0.3333 0.6667 0.9214 (multiplicity 1)

Top 8 peaks for 2θ from 15° to 90°, most intense first:
| 2θ/deg | I (rel.) | hkl |
| --- | --- | --- |
| 29.22 | 100 | 1 0 1 |
| 36.50 | 49 | 0 1 2 |
| 46.59 | 33 | 1 1 0 |
| 61.28 | 22 | 1 1 3 |
| 55.94 | 16 | 0 2 1 |
| 37.50 | 16 | 0 0 3 |
| 75.68 | 13 | 2 1 1 |
| 58.11 | 13 | 1 0 4 |

***

# 5
For Ta5Pb3, a DFT-relaxed cell (GGA-PBE, OQMD) gives the computed powder XRD pattern in this record (Cu Kα (λ = 1.5418 Å)).

Lattice parameters (Å, degrees): 14.5936 8.5709 5.4124 90.00 90.00 90.00
Space group Cmcm (No. 63)
Inequivalent atoms, fractional coordinates:
Ta 0.0000 0.1511 0.2500 (multiplicity 4)
Ta 0.1093 0.1067 0.7500 (multiplicity 8)
Ta 0.1713 0.5000 0.0000 (multiplicity 8)
Pb 0.0000 0.3962 0.7500 (multiplicity 4)
Pb 0.1976 0.2026 0.2500 (multiplicity 8)

Top 8 peaks for 2θ from 15° to 90°, most intense first:
| 2θ/deg | I (rel.) | hkl |
| --- | --- | --- |
| 36.50 | 100 | 5 1 1 |
| 36.35 | 99 | 4 2 1 |
| 39.53 | 59 | 3 1 2 |
| 36.08 | 40 | 1 3 1 |
| 46.07 | 39 | 6 2 1 |
| 33.10 | 36 | 0 0 2 |
| 35.34 | 36 | 1 1 2 |
| 72.92 | 33 | 5 5 2 |

***

# 6
For TbPr2Mg3TlIn2, a DFT-relaxed cell (GGA-PBE, OQMD) gives the computed powder XRD pattern in this record (Cu Kα (λ = 1.5418 Å)).

Lattice parameters (Å, degrees): 4.7465 13.2145 7.7554 90.00 90.00 90.00
Space group Amm2 (No. 38)
Inequivalent atoms, fractional coordinates:
Tb 0.0000 0.0000 0.0000 (multiplicity 2)
Pr 0.0000 0.2146 0.6427 (multiplicity 4)
Mg 0.5000 0.0000 0.6686 (multiplicity 2)
Mg 0.5000 0.1216 0.3054 (multiplicity 4)
Tl 0.0000 0.0000 0.4198 (multiplicity 2)
In 0.5000 0.1629 0.9284 (multiplicity 4)

Top 8 peaks for 2θ from 15° to 90°, most intense first:
| 2θ/deg | I (rel.) | hkl |
| --- | --- | --- |
| 32.76 | 100 | 1 2 2 |
| 33.04 | 54 | 1 4 0 |
| 29.98 | 37 | 1 3 1 |
| 37.91 | 35 | 2 0 0 |
| 26.66 | 30 | 0 2 2 |
| 22.96 | 28 | 0 0 2 |
| 23.22 | 25 | 0 3 1 |
| 18.69 | 24 | 1 0 0 |

***

# 7
For Pr2Y2I5N, a DFT-relaxed cell (GGA-PBE, OQMD) gives the computed powder XRD pattern in this record (Cu Kα (λ = 1.5418 Å)).

Lattice parameters (Å, degrees): 19.4693 4.0087 8.7943 90.00 102.57 90.00
Space group C2/m (No. 12)
Inequivalent atoms, fractional coordinates:
Pr 0.0005 0.0000 0.3062 (multiplicity 4)
Y 0.1233 0.5000 0.5604 (multiplicity 4)
I 0.0000 0.5000 0.0000 (multiplicity 2)
I 0.1662 0.0000 0.8294 (multiplicity 4)
I 0.1687 0.0000 0.3332 (multiplicity 4)
N 0.0000 0.5000 0.5000 (multiplicity 2)

Top 8 peaks for 2θ from 15° to 90°, most intense first:
| 2θ/deg | I (rel.) | hkl |
| --- | --- | --- |
| 30.17 | 100 | 1 1 -2 |
| 28.18 | 46 | 6 0 0 |
| 32.47 | 33 | 5 1 0 |
| 41.87 | 27 | 7 1 -2 |
| 41.63 | 27 | 5 1 2 |
| 45.24 | 19 | 0 2 0 |
| 41.06 | 15 | 2 0 -4 |
| 54.15 | 15 | 6 2 0 |